Diffraction record for Fe3Ge8N8. The XRD peak list is simulated, not measured: it uses a DFT-relaxed cell (PBE, the Materials Project) and λ = 1.5418 Å (Cu Kα).
No peak broadening, texture or thermal motion is included.

Atomic structure:
abc: 10.4296 10.4296 7.8674
angles: 92.17 92.17 16.85
Fractional coordinates of all 19 atoms:
Fe  0.0000  0.0000  0.0000
Fe  0.3174  0.3174  0.2284
Fe  0.6826  0.6826  0.7716
Ge  0.0965  0.0965  0.4675
Ge  0.1135  0.1135  0.0546
Ge  0.2810  0.2810  0.7596
Ge  0.4783  0.4783  0.2384
Ge  0.5217  0.5217  0.7616
Ge  0.7190  0.7190  0.2404
Ge  0.8865  0.8865  0.9454
Ge  0.9035  0.9035  0.5325
N  0.0184  0.0184  0.3395
N  0.1571  0.1571  0.2959
N  0.3309  0.3309  0.9875
N  0.3980  0.3980  0.3901
N  0.6020  0.6020  0.6099
N  0.6691  0.6691  0.0125
N  0.8429  0.8429  0.7041
N  0.9816  0.9816  0.6605

Largest 10 diffraction maxima, sorted by position, 10 to 90 degrees two-theta:
| 2θ/deg | I/Imax |
| --- | --- |
| 28.01 | 56 |
| 29.09 | 51 |
| 33.94 | 66 |
| 36.60 | 100 |
| 37.12 | 31 |
| 37.43 | 68 |
| 37.64 | 62 |
| 43.91 | 53 |
| 56.58 | 38 |
| 68.02 | 41 |